Simulated powder diffractogram
Compound: Co2Te3O8
Radiation: a wavelength of 1.5418 Å
Structure: a DFT-relaxed cell (PBE+U, OQMD)

Atomic structure:
a = 6.7961 Å, b = 6.7961 Å, c = 11.5123 Å
α = 98.14°, β = 98.14°, γ = 44.82°
Atoms (fractional coordinates):
Co 0.0326 0.4281 0.3521
Co 0.4281 0.0326 0.8521
Co 0.5719 0.9674 0.1479
Co 0.9674 0.5719 0.6479
Te 0.0642 0.6715 0.9479
Te 0.1684 0.8316 0.2500
Te 0.3285 0.9358 0.5521
Te 0.6715 0.0642 0.4479
Te 0.8316 0.1684 0.7500
Te 0.9358 0.3285 0.0521
O 0.0155 0.1447 0.3584
O 0.0196 0.7544 0.3647
O 0.1447 0.0155 0.8584
O 0.1772 0.4374 0.8068
O 0.2456 0.9804 0.1353
O 0.2526 0.2764 0.0291
O 0.2764 0.2526 0.5291
O 0.4374 0.1772 0.3068
O 0.5626 0.8228 0.6932
O 0.7236 0.7474 0.4709
O 0.7474 0.7236 0.9709
O 0.7544 0.0196 0.8647
O 0.8228 0.5626 0.1932
O 0.8553 0.9845 0.1416
O 0.9804 0.2456 0.6353
O 0.9845 0.8553 0.6416

Largest 6 diffraction maxima, by intensity, 2θ from 10° to 80°:
| Position (°2θ) | I/Imax |
| --- | --- |
| 30.95 | 100 |
| 27.76 | 100 |
| 18.55 | 45 |
| 22.76 | 39 |
| 42.21 | 37 |
| 32.56 | 36 |